No. 1
LiFeB4: computed powder XRD pattern (Cu Kα (weighted mean of Kα1 and Kα2)), based on DFT lattice parameters and positions (GGA-PBE).
Peak positions follow from Bragg's law for the DFT cell and can differ from measured ones.

The 10 most intense peaks (10 to 90 degrees two-theta), by intensity:
- 2θ 17.42, intensity 100, hkl 1 1 0
- 2θ 22.30, intensity 56, hkl 1 2 0
- 2θ 15.95, intensity 44, hkl 0 2 0
- 2θ 49.90, intensity 39, hkl 2 3 1
- 2θ 43.84, intensity 32, hkl 2 1 1
- 2θ 33.92, intensity 28, hkl 1 1 1
- 2θ 39.79, intensity 23, hkl 2 3 0
- 2θ 46.73, intensity 22, hkl 1 4 1
- 2θ 36.78, intensity 17, hkl 1 2 1
- 2θ 32.27, intensity 12, hkl 2 1 0

Structural model:
```
data_LiFeB4
_chemical_formula_sum 'Li4 Fe4 B16'
_cell_length_a 5.727
_cell_length_b 11.110
_cell_length_c 3.093
_cell_angle_alpha 90.00
_cell_angle_beta 90.00
_cell_angle_gamma 90.00
_symmetry_space_group_name_H-M 'P b a m'
_symmetry_Int_Tables_number 55
loop_
_symmetry_equiv_pos_as_xyz
'x,y,z'
'-x,-y,-z'
'-x,-y,z'
'x,y,-z'
'x+1/2,-y+1/2,-z'
'-x+1/2,y+1/2,z'
'-x+1/2,y+1/2,-z'
'x+1/2,-y+1/2,z'
loop_
_atom_site_label
_atom_site_type_symbol
_atom_site_fract_x
_atom_site_fract_y
_atom_site_fract_z
Li1 Li 0.122 0.153 0.000
Fe1 Fe 0.125 0.419 0.000
B1 B 0.020 0.696 0.500
B2 B 0.119 0.551 0.500
B3 B 0.130 0.966 0.500
B4 B 0.210 0.813 0.500
```

No. 2
LiFeBPd: computed powder XRD pattern (Cu Kα (weighted mean of Kα1 and Kα2)), based on DFT lattice parameters and positions (GGA-PBE).
Peak positions follow from Bragg's law for the DFT cell and can differ from measured ones.

The 9 most intense peaks (10 to 90 degrees two-theta), by intensity:
- 2θ 32.93, intensity 100, hkl 2 0 0
- 2θ 47.26, intensity 96, hkl 2 2 0
- 2θ 87.94, intensity 30, hkl 4 2 2
- 2θ 78.66, intensity 30, hkl 4 2 0
- 2θ 58.80, intensity 24, hkl 2 2 2
- 2θ 28.42, intensity 20, hkl 1 1 1
- 2θ 69.06, intensity 15, hkl 4 0 0
- 2θ 56.07, intensity 9, hkl 3 1 1
- 2θ 76.30, intensity 4, hkl 3 3 1

Structural model:
```
data_LiFeBPd
_chemical_formula_sum 'Li4 Fe4 B4 Pd4'
_cell_length_a 5.440
_cell_length_b 5.440
_cell_length_c 5.440
_cell_angle_alpha 90.00
_cell_angle_beta 90.00
_cell_angle_gamma 90.00
_symmetry_space_group_name_H-M 'F -4 3 m'
_symmetry_Int_Tables_number 216
_symmetry_space_group_name_Hall 'F -4 2 3'
loop_
_atom_site_label
_atom_site_type_symbol
_atom_site_fract_x
_atom_site_fract_y
_atom_site_fract_z
Li1 Li 0.000 0.000 0.000
Fe1 Fe 0.250 0.250 0.750
B1 B 0.000 0.000 0.500
Pd1 Pd 0.250 0.250 0.250
```

No. 3
LiZrFeB: computed powder XRD pattern (Cu Kα (weighted mean of Kα1 and Kα2)), based on DFT lattice parameters and positions (GGA-PBE).
Peak positions follow from Bragg's law for the DFT cell and can differ from measured ones.

The 10 most intense peaks (10 to 90 degrees two-theta), by intensity:
- 2θ 26.87, intensity 100, hkl 1 1 1
- 2θ 44.60, intensity 99, hkl 2 2 0
- 2θ 52.84, intensity 45, hkl 3 1 1
- 2θ 82.18, intensity 30, hkl 4 2 2
- 2θ 71.57, intensity 17, hkl 3 3 1
- 2θ 64.91, intensity 15, hkl 4 0 0
- 2θ 88.39, intensity 13, hkl 5 1 1
- 2θ 31.13, intensity 7, hkl 2 0 0
- 2θ 73.74, intensity 2, hkl 4 2 0
- 2θ 55.39, intensity 2, hkl 2 2 2

Structural model:
```
data_LiZrFeB
_chemical_formula_sum 'Li4 Zr4 Fe4 B4'
_cell_length_a 5.746
_cell_length_b 5.746
_cell_length_c 5.746
_cell_angle_alpha 90.00
_cell_angle_beta 90.00
_cell_angle_gamma 90.00
_symmetry_space_group_name_H-M 'F -4 3 m'
_symmetry_Int_Tables_number 216
_symmetry_space_group_name_Hall 'F -4 2 3'
loop_
_atom_site_label
_atom_site_type_symbol
_atom_site_fract_x
_atom_site_fract_y
_atom_site_fract_z
Li1 Li 0.000 0.000 0.000
Zr1 Zr 0.250 0.250 0.750
Fe1 Fe 0.000 0.000 0.500
B1 B 0.250 0.250 0.250
```

No. 4
LuFeB4: computed powder XRD pattern (Cu Kα (weighted mean of Kα1 and Kα2)), based on DFT lattice parameters and positions (GGA-PBE).
Peak positions follow from Bragg's law for the DFT cell and can differ from measured ones.

The 10 most intense peaks (10 to 90 degrees two-theta), by intensity:
- 2θ 42.07, intensity 100, hkl 0 4 1
- 2θ 31.74, intensity 88, hkl 0 4 0
- 2θ 26.89, intensity 65, hkl 0 0 1
- 2θ 39.41, intensity 33, hkl 1 3 1
- 2θ 28.27, intensity 32, hkl 1 3 0
- 2θ 21.95, intensity 28, hkl 1 2 0
- 2θ 34.97, intensity 23, hkl 1 2 1
- 2θ 65.29, intensity 22, hkl 0 4 2
- 2θ 45.00, intensity 22, hkl 1 4 1
- 2θ 48.12, intensity 19, hkl 2 3 1

Structural model:
```
data_LuFeB4
_chemical_formula_sum 'Lu4 Fe4 B16'
_cell_length_a 5.826
_cell_length_b 11.266
_cell_length_c 3.316
_cell_angle_alpha 90.00
_cell_angle_beta 90.00
_cell_angle_gamma 90.00
_symmetry_space_group_name_H-M 'P b a m'
_symmetry_Int_Tables_number 55
loop_
_symmetry_equiv_pos_as_xyz
'x,y,z'
'-x,-y,-z'
'-x,-y,z'
'x,y,-z'
'x+1/2,-y+1/2,-z'
'-x+1/2,y+1/2,z'
'-x+1/2,y+1/2,-z'
'x+1/2,-y+1/2,z'
loop_
_atom_site_label
_atom_site_type_symbol
_atom_site_fract_x
_atom_site_fract_y
_atom_site_fract_z
Lu1 Lu 0.128 0.150 0.000
Fe1 Fe 0.134 0.411 0.000
B1 B 0.024 0.692 0.500
B2 B 0.112 0.547 0.500
B3 B 0.137 0.968 0.500
B4 B 0.215 0.816 0.500
```

No. 5
Lu2FeB4Pt4: computed powder XRD pattern (Cu Kα (weighted mean of Kα1 and Kα2)), based on DFT lattice parameters and positions (GGA-PBE).
Peak positions follow from Bragg's law for the DFT cell and can differ from measured ones.

The 10 most intense peaks (10 to 90 degrees two-theta), by intensity:
- 2θ 35.85, intensity 100, hkl 0 2 4
- 2θ 39.30, intensity 98, hkl 2 2 0
- 2θ 45.17, intensity 55, hkl 2 0 4
- 2θ 29.44, intensity 47, hkl 0 0 4
- 2θ 40.65, intensity 42, hkl 0 4 0
- 2θ 62.37, intensity 39, hkl 2 4 4
- 2θ 75.09, intensity 28, hkl 2 2 8
- 2θ 20.00, intensity 24, hkl 0 2 0
- 2θ 81.54, intensity 22, hkl 4 2 4
- 2θ 49.86, intensity 17, hkl 2 2 4

Structural model:
```
data_Lu2FeB4Pt4
_chemical_formula_sum 'Lu8 Fe4 B16 Pt16'
_cell_length_a 5.354
_cell_length_b 8.877
_cell_length_c 12.136
_cell_angle_alpha 90.00
_cell_angle_beta 90.00
_cell_angle_gamma 90.00
_symmetry_space_group_name_H-M 'F m m m'
_symmetry_Int_Tables_number 69
_symmetry_space_group_name_Hall '-F 2 2'
loop_
_atom_site_label
_atom_site_type_symbol
_atom_site_fract_x
_atom_site_fract_y
_atom_site_fract_z
Lu1 Lu 0.000 0.000 0.135
Fe1 Fe 0.000 0.000 0.500
B1 B 0.000 0.111 0.361
Pt1 Pt 0.250 0.250 0.000
Pt2 Pt 0.250 0.250 0.250
```

No. 6
MgFeB4: computed powder XRD pattern (Cu Kα (weighted mean of Kα1 and Kα2)), based on DFT lattice parameters and positions (GGA-PBE).
Peak positions follow from Bragg's law for the DFT cell and can differ from measured ones.

The 10 most intense peaks (10 to 90 degrees two-theta), by intensity:
- 2θ 17.29, intensity 100, hkl 1 1 0
- 2θ 49.16, intensity 92, hkl 2 3 1
- 2θ 43.04, intensity 88, hkl 2 1 1
- 2θ 46.12, intensity 61, hkl 1 4 1
- 2θ 39.54, intensity 54, hkl 2 3 0
- 2θ 28.03, intensity 51, hkl 0 0 1
- 2θ 22.19, intensity 51, hkl 1 2 0
- 2θ 31.98, intensity 49, hkl 2 1 0
- 2θ 15.95, intensity 46, hkl 0 2 0
- 2θ 43.22, intensity 44, hkl 0 4 1

Structural model:
```
data_MgFeB4
_chemical_formula_sum 'Mg4 Fe4 B16'
_cell_length_a 5.783
_cell_length_b 11.112
_cell_length_c 3.183
_cell_angle_alpha 90.00
_cell_angle_beta 90.00
_cell_angle_gamma 90.00
_symmetry_space_group_name_H-M 'P b a m'
_symmetry_Int_Tables_number 55
loop_
_symmetry_equiv_pos_as_xyz
'x,y,z'
'-x,-y,-z'
'-x,-y,z'
'x,y,-z'
'x+1/2,-y+1/2,-z'
'-x+1/2,y+1/2,z'
'-x+1/2,y+1/2,-z'
'x+1/2,-y+1/2,z'
loop_
_atom_site_label
_atom_site_type_symbol
_atom_site_fract_x
_atom_site_fract_y
_atom_site_fract_z
Mg1 Mg 0.124 0.151 0.000
Fe1 Fe 0.132 0.416 0.000
B1 B 0.021 0.695 0.500
B2 B 0.114 0.549 0.500
B3 B 0.134 0.969 0.500
B4 B 0.212 0.815 0.500
```

No. 7
FeB3Mo4: computed powder XRD pattern (Cu Kα (weighted mean of Kα1 and Kα2)), based on DFT lattice parameters and positions (GGA-PBE).
Peak positions follow from Bragg's law for the DFT cell and can differ from measured ones.

The 10 most intense peaks (10 to 90 degrees two-theta), by intensity:
- 2θ 41.08, intensity 100, hkl 1 0 6
- 2θ 38.89, intensity 68, hkl 1 0 5
- 2θ 59.81, intensity 41, hkl 1 1 0
- 2θ 34.38, intensity 36, hkl 1 0 2
- 2θ 37.01, intensity 23, hkl 1 0 4
- 2θ 33.69, intensity 22, hkl 1 0 1
- 2θ 39.07, intensity 21, hkl 0 0 10
- 2θ 31.04, intensity 20, hkl 0 0 8
- 2θ 73.79, intensity 18, hkl 1 1 10
- 2θ 59.19, intensity 17, hkl 1 0 12

Structural model:
```
data_FeB3Mo4
_chemical_formula_sum 'Fe2 B6 Mo8'
_cell_length_a 3.0924
_cell_length_b 3.0924
_cell_length_c 23.0524
_cell_angle_alpha 90.00
_cell_angle_beta 90.00
_cell_angle_gamma 120.00
_symmetry_space_group_name_H-M 'P 63/m m c'
_symmetry_Int_Tables_number 194
_symmetry_space_group_name_Hall '-P 6c 2c'
loop_
_atom_site_label
_atom_site_type_symbol
_atom_site_fract_x
_atom_site_fract_y
_atom_site_fract_z
Fe1 Fe 0.3333 0.6667 0.2500
B1 B 0.0000 0.0000 0.0000
B2 B 0.3333 0.6667 0.6150
Mo1 Mo 0.0000 0.0000 0.1676
Mo2 Mo 0.3333 0.6667 0.0579
```

No. 8
FeB2Mo3: computed powder XRD pattern (Cu Kα (weighted mean of Kα1 and Kα2)), based on DFT lattice parameters and positions (GGA-PBE).
Peak positions follow from Bragg's law for the DFT cell and can differ from measured ones.

The 10 most intense peaks (10 to 90 degrees two-theta), by intensity:
- 2θ 39.22, intensity 100, hkl 1 0 4
- 2θ 42.11, intensity 39, hkl 1 0 5
- 2θ 33.96, intensity 38, hkl 1 0 1
- 2θ 60.05, intensity 29, hkl 1 1 0
- 2θ 39.95, intensity 19, hkl 0 0 8
- 2θ 74.58, intensity 18, hkl 1 1 8
- 2θ 57.47, intensity 16, hkl 1 0 9
- 2θ 74.10, intensity 14, hkl 2 0 4
- 2θ 29.69, intensity 11, hkl 0 0 6
- 2θ 72.06, intensity 8, hkl 1 0 12

Structural model:
```
data_FeB2Mo3
_chemical_formula_sum 'Fe2 B4 Mo6'
_cell_length_a 3.0811
_cell_length_b 3.0811
_cell_length_c 18.0549
_cell_angle_alpha 90.00
_cell_angle_beta 90.00
_cell_angle_gamma 120.00
_symmetry_space_group_name_H-M 'P 63/m m c'
_symmetry_Int_Tables_number 194
_symmetry_space_group_name_Hall '-P 6c 2c'
loop_
_atom_site_label
_atom_site_type_symbol
_atom_site_fract_x
_atom_site_fract_y
_atom_site_fract_z
Fe1 Fe 0.0000 0.0000 0.2500
B1 B 0.3333 0.6667 0.0743
Mo1 Mo 0.0000 0.0000 0.0000
Mo2 Mo 0.3333 0.6667 0.6417
```

No. 9
FeBMo2: computed powder XRD pattern (Cu Kα (weighted mean of Kα1 and Kα2)), based on DFT lattice parameters and positions (GGA-PBE).
Peak positions follow from Bragg's law for the DFT cell and can differ from measured ones.

The 10 most intense peaks (10 to 90 degrees two-theta), by intensity:
- 2θ 40.50, intensity 100, hkl 1 0 3
- 2θ 34.39, intensity 25, hkl 1 0 0
- 2θ 61.60, intensity 21, hkl 1 1 0
- 2θ 42.21, intensity 15, hkl 0 0 6
- 2θ 76.35, intensity 15, hkl 2 0 3
- 2θ 77.51, intensity 14, hkl 1 1 6
- 2θ 55.53, intensity 11, hkl 1 0 6
- 2θ 27.78, intensity 8, hkl 0 0 4
- 2θ 35.12, intensity 8, hkl 1 0 1
- 2θ 76.00, intensity 8, hkl 1 0 9

Structural model:
```
data_FeBMo2
_chemical_formula_sum 'Fe2 B2 Mo4'
_cell_length_a 3.0110
_cell_length_b 3.0110
_cell_length_c 12.8470
_cell_angle_alpha 90.00
_cell_angle_beta 90.00
_cell_angle_gamma 120.00
_symmetry_space_group_name_H-M 'P 63/m m c'
_symmetry_Int_Tables_number 194
_symmetry_space_group_name_Hall '-P 6c 2c'
loop_
_atom_site_label
_atom_site_type_symbol
_atom_site_fract_x
_atom_site_fract_y
_atom_site_fract_z
Fe1 Fe 0.3333 0.6667 0.2500
B1 B 0.0000 0.0000 0.0000
Mo1 Mo 0.3333 0.6667 0.5997
```

No. 10
TbYFe2B2N2: computed powder XRD pattern (Cu Kα (weighted mean of Kα1 and Kα2)), based on DFT lattice parameters and positions (GGA-PBE).
Peak positions follow from Bragg's law for the DFT cell and can differ from measured ones.

The 10 most intense peaks (10 to 90 degrees two-theta), by intensity:
- 2θ 34.83, intensity 100, hkl 0 0 3
- 2θ 28.28, intensity 72, hkl 1 0 1
- 2θ 38.63, intensity 64, hkl 1 1 1
- 2θ 43.83, intensity 48, hkl 1 1 2
- 2θ 64.97, intensity 46, hkl 2 0 3
- 2θ 61.14, intensity 36, hkl 1 1 4
- 2θ 52.98, intensity 30, hkl 2 0 0
- 2θ 54.40, intensity 18, hkl 1 0 4
- 2θ 36.77, intensity 16, hkl 1 1 0
- 2θ 88.56, intensity 16, hkl 2 2 3

Structural model:
```
data_TbYFe2B2N2
_chemical_formula_sum 'Tb1 Y1 Fe2 B2 N2'
_cell_length_a 3.457
_cell_length_b 3.457
_cell_length_c 7.728
_cell_angle_alpha 90.00
_cell_angle_beta 90.00
_cell_angle_gamma 90.00
_symmetry_space_group_name_H-M 'P 4 m m'
_symmetry_Int_Tables_number 99
loop_
_symmetry_equiv_pos_as_xyz
'x,y,z'
'-y,x,z'
'-x,-y,z'
'y,-x,z'
'-x,y,z'
'y,x,z'
'x,-y,z'
'-y,-x,z'
loop_
_atom_site_label
_atom_site_type_symbol
_atom_site_fract_x
_atom_site_fract_y
_atom_site_fract_z
Tb1 Tb 0.000 0.000 0.000
Y1 Y 0.500 0.500 0.331
Fe1 Fe 0.000 0.500 0.666
B1 B 0.000 0.000 0.502
B2 B 0.500 0.500 0.831
N1 N 0.000 0.000 0.309
N2 N 0.500 0.500 0.024
```

No. 11
NbFe2B4: computed powder XRD pattern (Cu Kα (weighted mean of Kα1 and Kα2)), based on DFT lattice parameters and positions (GGA-PBE).
Peak positions follow from Bragg's law for the DFT cell and can differ from measured ones.

The 10 most intense peaks (10 to 90 degrees two-theta), by intensity:
- 2θ 43.89, intensity 100, hkl 1 1 2
- 2θ 36.66, intensity 82, hkl 1 0 3
- 2θ 29.08, intensity 58, hkl 0 1 1
- 2θ 45.92, intensity 54, hkl 0 1 5
- 2θ 42.90, intensity 24, hkl 0 0 6
- 2θ 70.87, intensity 22, hkl 1 2 3
- 2θ 74.04, intensity 21, hkl 1 1 8
- 2θ 50.83, intensity 19, hkl 1 1 4
- 2θ 80.10, intensity 19, hkl 2 1 5
- 2θ 58.30, intensity 16, hkl 0 2 0

Structural model:
```
data_NbFe2B4
_chemical_formula_sum 'Nb2 Fe4 B8'
_cell_length_a 3.013
_cell_length_b 3.165
_cell_length_c 12.649
_cell_angle_alpha 90.00
_cell_angle_beta 90.00
_cell_angle_gamma 90.00
_symmetry_space_group_name_H-M 'I m m m'
_symmetry_Int_Tables_number 71
_symmetry_space_group_name_Hall '-I 2 2'
loop_
_atom_site_label
_atom_site_type_symbol
_atom_site_fract_x
_atom_site_fract_y
_atom_site_fract_z
Nb1 Nb 0.000 0.000 0.000
Fe1 Fe 0.000 0.500 0.313
B1 B 0.000 0.000 0.425
B2 B 0.000 0.500 0.151
```

No. 12
NbFeBPd: computed powder XRD pattern (Cu Kα (weighted mean of Kα1 and Kα2)), based on DFT lattice parameters and positions (GGA-PBE).
Peak positions follow from Bragg's law for the DFT cell and can differ from measured ones.

The 10 most intense peaks (10 to 90 degrees two-theta), by intensity:
- 2θ 43.18, intensity 100, hkl 2 2 0
- 2θ 26.05, intensity 36, hkl 1 1 1
- 2θ 79.19, intensity 31, hkl 4 2 2
- 2θ 51.13, intensity 17, hkl 3 1 1
- 2θ 62.72, intensity 16, hkl 4 0 0
- 2θ 30.16, intensity 8, hkl 2 0 0
- 2θ 69.10, intensity 7, hkl 3 3 1
- 2θ 85.07, intensity 5, hkl 5 1 1
- 2θ 71.16, intensity 2, hkl 4 2 0
- 2θ 53.58, intensity 2, hkl 2 2 2

Structural model:
```
data_NbFeBPd
_chemical_formula_sum 'Nb4 Fe4 B4 Pd4'
_cell_length_a 5.926
_cell_length_b 5.926
_cell_length_c 5.926
_cell_angle_alpha 90.00
_cell_angle_beta 90.00
_cell_angle_gamma 90.00
_symmetry_space_group_name_H-M 'F -4 3 m'
_symmetry_Int_Tables_number 216
_symmetry_space_group_name_Hall 'F -4 2 3'
loop_
_atom_site_label
_atom_site_type_symbol
_atom_site_fract_x
_atom_site_fract_y
_atom_site_fract_z
Nb1 Nb 0.000 0.000 0.000
Fe1 Fe 0.250 0.250 0.750
B1 B 0.000 0.000 0.500
Pd1 Pd 0.250 0.250 0.250
```